For NaVCdO4, DFT lattice parameters and positions (PBE+U) gives the calculated PXRD pattern in this record (Cu Ka).

Structural model:
```
data_NaVCdO4
_chemical_formula_sum 'Na4 V4 Cd4 O16'
_symmetry_space_group_name_H-M 'C m c m'
_symmetry_Int_Tables_number 63
_symmetry_space_group_name_Hall '-C 2c 2'
_cell_length_a 6.216
_cell_length_b 9.547
_cell_length_c 6.860
_cell_angle_alpha 90.00
_cell_angle_beta 90.00
_cell_angle_gamma 90.00
loop_
_atom_site_label
_atom_site_type_symbol
_atom_site_fract_x
_atom_site_fract_y
_atom_site_fract_z
Na1 Na 0.000 0.000 0.000
V1 V 0.000 0.360 0.250
Cd1 Cd 0.000 0.327 0.750
O1 O 0.000 0.252 0.044
O2 O 0.224 0.470 0.250
```

Most intense lines, 15 to 90 degrees two-theta, by angle:
17.02°, I = 654, hkl 1 1 0; 21.42°, I = 426, hkl 1 1 1; 25.98°, I = 555, hkl 0 0 2; 28.72°, I = 739, hkl 2 0 0; 31.22°, I = 855, hkl 1 1 2; 31.58°, I = 1000, hkl 1 3 0; 34.43°, I = 318, hkl 2 2 0; 41.34°, I = 480, hkl 1 3 2; 43.63°, I = 250, hkl 2 2 2; 52.72°, I = 260, hkl 3 3 0; 55.44°, I = 278, hkl 2 4 2; 63.40°, I = 242, hkl 1 3 4